The following is a theoretical X-ray powder pattern of CsMnI2O8. It was derived from a GGA+U-relaxed structure, using Cu Kα (weighted mean of Kα1 and Kα2).
Neutral-atom scattering factors, no anomalous dispersion.

Cell and atoms:
a b c (Å): 8.4511 8.4511 8.4511
angles (deg): 38.13 38.13 38.13
Atoms (fractional coordinates):
Cs  0.0000  0.0000  0.0000
Mn  0.5000  0.5000  0.5000
I  0.2156  0.2156  0.2156
I  0.7844  0.7844  0.7844
O  0.1686  0.7392  0.4501
O  0.2608  0.5499  0.8314
O  0.2917  0.2917  0.2917
O  0.4501  0.1686  0.7392
O  0.5499  0.8314  0.2608
O  0.7083  0.7083  0.7083
O  0.7392  0.4501  0.1686
O  0.8314  0.2608  0.5499

Most intense lines, 2θ from 10° to 90°, in order of rising 2θ:
- 11.31°, 7.827 Å, I = 209
- 24.00°, 3.707 Å, I = 1000
- 26.60°, 3.350 Å, I = 365
- 32.43°, 2.761 Å, I = 592
- 34.39°, 2.608 Å, I = 155
- 40.75°, 2.214 Å, I = 220
- 42.91°, 2.108 Å, I = 167
- 47.98°, 1.896 Å, I = 137
- 53.01°, 1.727 Å, I = 203
- 57.85°, 1.594 Å, I = 168